Starting from a cell relaxed with GGA-PBE, the X-ray powder pattern of Dy2Zr8O19 was simulated for a wavelength of 1.5418 Å.
Kinematic intensities with the Lorentz-polarization factor, no thermal factor.

Crystal structure
Cell: 3.644 3.644 25.738 Å, 90.00 90.00 90.00°
Positions (direct):
Dy (0.000, 0.500, 0.056)
Dy (0.500, 0.000, 0.944)
Zr (0.000, 0.500, 0.252)
Zr (0.000, 0.500, 0.450)
Zr (0.000, 0.500, 0.649)
Zr (0.000, 0.500, 0.847)
Zr (0.500, 0.000, 0.153)
Zr (0.500, 0.000, 0.351)
Zr (0.500, 0.000, 0.550)
Zr (0.500, 0.000, 0.748)
O (0.000, 0.000, 0.000)
O (0.000, 0.000, 0.109)
O (0.000, 0.000, 0.207)
O (0.000, 0.000, 0.305)
O (0.000, 0.000, 0.403)
O (0.000, 0.000, 0.500)
O (0.000, 0.000, 0.597)
O (0.000, 0.000, 0.695)
O (0.000, 0.000, 0.793)
O (0.000, 0.000, 0.891)
O (0.500, 0.500, 0.098)
O (0.500, 0.500, 0.197)
O (0.500, 0.500, 0.297)
O (0.500, 0.500, 0.398)
O (0.500, 0.500, 0.500)
O (0.500, 0.500, 0.602)
O (0.500, 0.500, 0.703)
O (0.500, 0.500, 0.803)
O (0.500, 0.500, 0.902)

Main lines, most intense first (10 to 90 degrees two-theta):
2theta, I_rel, index
30.05, 100.0, 1 0 5
50.09, 54.6, 2 0 0
59.52, 40.0, 2 1 5
34.83, 24.7, 1 1 0
81.44, 15.4, 3 0 5
73.54, 7.6, 2 2 0
62.46, 6.7, 2 0 10
84.04, 6.0, 2 2 10
83.99, 3.3, 3 1 0
28.14, 2.8, 1 0 4
26.58, 2.1, 1 0 3
25.41, 1.3, 1 0 2